For PmY5Tm5, a DFT-relaxed cell (GGA-PBE, Alexandria) gives the calculated X-ray diffraction stick pattern in this record (λ = 1.5418 Å (Cu Kα)).
Kinematic intensities with the Lorentz-polarization factor, no thermal factor.

Atomic structure:
Cell: 18.8295 5.8730 6.9249 Å, 90.00 111.16 90.00°
Space group C2/m (No. 12)
Inequivalent atoms, fractional coordinates:
Pm 0.0000 0.0000 0.0000 x2
Y 0.0000 0.5000 0.0000 x2
Y 0.1800 0.0000 0.4263 x4
Y 0.1796 0.0000 0.9336 x4
Tm 0.0000 0.0000 0.5000 x2
Tm 0.1231 0.5000 0.6252 x4
Tm 0.1685 0.5000 0.1703 x4

Top 10 peaks for 15 to 90 degrees two-theta, low angle first:
(hkl), 2θ (°), intensity
3 1 0, 21.43, 34.3
2 0 -2, 25.73, 30.5
5 1 0, 29.64, 28.9
0 2 0, 30.43, 100.0
6 0 0, 30.55, 42.1
1 1 2, 33.64, 79.6
5 1 -2, 33.81, 76.9
2 2 -2, 40.26, 22.2
6 2 0, 43.67, 31.4
1 3 2, 56.16, 22.9